For Li3Mn2Si2O8, DFT lattice parameters and positions (PBE+U) gives the computed XRD peak list in this record (Cu Kα, 1.54184 Å).

Structure:
a b c (Å): 6.734 5.108 10.544
angles (deg): 90.00 90.34 90.00
Sites, in units of the cell vectors:
Li  0.000  0.041  0.000
Li  0.000  0.959  0.500
Li  0.251  0.437  0.916
Li  0.251  0.563  0.416
Li  0.742  0.053  0.235
Li  0.742  0.947  0.735
Mn  0.254  0.059  0.238
Mn  0.254  0.941  0.738
Mn  0.741  0.449  0.915
Mn  0.741  0.551  0.415
Si  0.494  0.067  0.489
Si  0.494  0.933  0.989
Si  0.996  0.448  0.667
Si  0.996  0.552  0.167
O  0.196  0.446  0.239
O  0.196  0.554  0.739
O  0.286  0.052  0.926
O  0.286  0.948  0.426
O  0.493  0.385  0.460
O  0.493  0.615  0.960
O  0.501  0.012  0.641
O  0.501  0.988  0.141
O  0.699  0.054  0.923
O  0.699  0.946  0.423
O  0.803  0.432  0.242
O  0.803  0.568  0.742
O  0.992  0.445  0.017
O  0.992  0.555  0.517
O  0.994  0.124  0.669
O  0.994  0.876  0.169

Largest 12 diffraction maxima, sorted by position, 2θ = 5–70°:
| two_theta | I/Imax |
| --- | --- |
| 21.34 | 53 |
| 21.47 | 44 |
| 21.84 | 100 |
| 23.42 | 15 |
| 27.71 | 20 |
| 31.44 | 21 |
| 31.62 | 26 |
| 32.97 | 18 |
| 34.01 | 34 |
| 35.13 | 45 |
| 41.51 | 13 |
| 54.51 | 16 |